Record 1
Simulated X-ray diffraction stick pattern of PaAsBr3 for Cu Kα (λ = 1.5418 Å), from the PBE geometry in Alexandria.
Intensities are scaled so that the largest is 100.

Structural model:
Cell lengths 7.763, 7.756, 14.157 Å; angles 90.00, 93.32, 90.00 degrees
Atoms (fractional coordinates):
Pa1 0.075 0.120 0.142
Pa2 0.075 0.880 0.642
Pa3 0.925 0.120 0.358
Pa4 0.925 0.880 0.858
As1 0.139 0.393 0.287
As2 0.139 0.607 0.787
As3 0.861 0.393 0.213
As4 0.861 0.607 0.713
Br1 0.127 0.199 0.530
Br2 0.127 0.801 0.030
Br3 0.223 0.079 0.795
Br4 0.223 0.921 0.295
Br5 0.362 0.255 0.074
Br6 0.362 0.745 0.574
Br7 0.638 0.255 0.426
Br8 0.638 0.745 0.926
Br9 0.777 0.079 0.705
Br10 0.777 0.921 0.205
Br11 0.873 0.199 0.970
Br12 0.873 0.801 0.470

The 8 most intense peaks (2θ from 5° to 70°), most intense first:
2theta	I (rel.)	index
11.41	100.0	1 0 0
13.02	30.8	0 1 1
31.64	18.1	1 2 -3
36.34	17.6	3 0 -2
16.17	15.9	1 1 0
26.18	15.7	2 1 -1
17.59	14.1	1 1 1
37.29	13.7	2 2 -3

=====

Record 2
Simulated X-ray diffraction stick pattern of PaAsBr for Cu Kα (λ = 1.5418 Å), from the PBE geometry in Alexandria.
Intensities are scaled so that the largest is 100.

Structural model:
Cell lengths 4.073, 4.077, 12.529 Å; angles 90.00, 98.76, 90.00 degrees
Atoms (fractional coordinates):
Pa1 0.189 0.250 0.369
Pa2 0.811 0.750 0.631
As1 0.302 0.250 0.610
As2 0.698 0.750 0.390
Br1 0.088 0.250 0.155
Br2 0.912 0.750 0.845

The 8 most intense peaks (2θ from 5° to 70°), most intense first:
2theta	I (rel.)	index
7.14	100.0	0 0 1
31.25	53.4	1 1 0
28.84	20.5	0 0 4
22.97	19.1	0 1 1
44.47	14.9	0 2 0
45.78	13.2	1 1 -5
45.41	11.7	1 1 4
22.12	11.6	1 0 -1